# 1
This entry pairs a crystal structure of BiPd20 with its simulated XRD peak list. Radiation: Cu Kα, 1.54184 Å. Structure: a crystal structure in OQMD, relaxed with GGA-PBE.
Kinematic intensities with the Lorentz-polarization factor, no thermal factor.

The 10 most intense peaks (2θ = 15–90°), by angle:
| Position (°2θ) | Rel. int. |
| --- | --- |
| 37.44 | 37 |
| 39.24 | 12 |
| 39.97 | 100 |
| 40.12 | 88 |
| 42.81 | 14 |
| 46.02 | 29 |
| 46.67 | 29 |
| 47.03 | 31 |
| 67.91 | 18 |
| 80.96 | 12 |

Atomic structure:
Cell: 4.783 7.257 26.337 Å, 89.49 89.29 76.83°
Positions (direct):
Bi: 0.029 0.177 0.141
Bi: 0.971 0.823 0.859
Pd: 0.014 0.176 0.824
Pd: 0.025 0.175 0.483
Pd: 0.076 0.517 0.792
Pd: 0.076 0.525 0.449
Pd: 0.120 0.874 0.756
Pd: 0.127 0.876 0.414
Pd: 0.168 0.224 0.722
Pd: 0.178 0.227 0.380
Pd: 0.220 0.572 0.688
Pd: 0.231 0.576 0.346
Pd: 0.272 0.922 0.653
Pd: 0.281 0.927 0.312
Pd: 0.321 0.274 0.620
Pd: 0.330 0.279 0.278
Pd: 0.373 0.624 0.585
Pd: 0.382 0.629 0.242
Pd: 0.425 0.975 0.551
Pd: 0.440 0.973 0.207
Pd: 0.475 0.325 0.517
Pd: 0.475 0.332 0.175
Pd: 0.525 0.668 0.825
Pd: 0.525 0.675 0.483
Pd: 0.560 0.027 0.793
Pd: 0.575 0.025 0.449
Pd: 0.618 0.371 0.758
Pd: 0.627 0.376 0.415
Pd: 0.670 0.721 0.722
Pd: 0.679 0.726 0.380
Pd: 0.719 0.073 0.688
Pd: 0.728 0.078 0.347
Pd: 0.769 0.424 0.654
Pd: 0.780 0.428 0.312
Pd: 0.822 0.773 0.620
Pd: 0.832 0.776 0.278
Pd: 0.873 0.124 0.586
Pd: 0.880 0.126 0.244
Pd: 0.924 0.475 0.551
Pd: 0.924 0.483 0.208
Pd: 0.975 0.825 0.517
Pd: 0.986 0.824 0.176



# 2
This entry pairs a crystal structure of BiPd10 with its simulated XRD peak list. Radiation: Cu Kα, 1.54184 Å. Structure: a crystal structure in OQMD, relaxed with GGA-PBE.
Kinematic intensities with the Lorentz-polarization factor, no thermal factor.

The 10 most intense peaks (2θ = 15–90°), by angle:
| Position (°2θ) | Rel. int. |
| --- | --- |
| 38.13 | 29 |
| 39.22 | 100 |
| 39.34 | 46 |
| 39.57 | 18 |
| 40.24 | 29 |
| 43.06 | 54 |
| 44.75 | 29 |
| 48.90 | 15 |
| 62.21 | 16 |
| 68.54 | 27 |

Atomic structure:
Cell: 4.643 2.985 32.114 Å, 90.00 93.00 90.00°
Positions (direct):
Bi: 0.152 0.250 0.135
Bi: 0.848 0.750 0.865
Pd: 0.039 0.250 0.639
Pd: 0.073 0.250 0.290
Pd: 0.147 0.750 0.569
Pd: 0.163 0.750 0.214
Pd: 0.250 0.250 0.500
Pd: 0.337 0.750 0.774
Pd: 0.342 0.250 0.845
Pd: 0.353 0.750 0.431
Pd: 0.434 0.250 0.707
Pd: 0.459 0.250 0.361
Pd: 0.541 0.750 0.639
Pd: 0.566 0.750 0.293
Pd: 0.647 0.250 0.569
Pd: 0.658 0.750 0.155
Pd: 0.663 0.250 0.226
Pd: 0.750 0.750 0.500
Pd: 0.837 0.250 0.786
Pd: 0.853 0.250 0.431
Pd: 0.927 0.750 0.710
Pd: 0.961 0.750 0.361



# 3
This entry pairs a crystal structure of BiPd18 with its simulated XRD peak list. Radiation: Cu Kα, 1.54184 Å. Structure: a crystal structure in OQMD, relaxed with GGA-PBE.
Kinematic intensities with the Lorentz-polarization factor, no thermal factor.

The 10 most intense peaks (2θ = 15–90°), by angle:
| Position (°2θ) | Rel. int. |
| --- | --- |
| 38.38 | 45 |
| 39.74 | 100 |
| 40.36 | 62 |
| 44.64 | 29 |
| 46.40 | 40 |
| 46.95 | 31 |
| 66.80 | 26 |
| 68.13 | 25 |
| 79.74 | 29 |
| 82.27 | 18 |

Atomic structure:
Cell: 5.599 3.872 38.310 Å, 90.00 90.01 90.00°
Positions (direct):
Bi: 0.125 0.250 0.348
Bi: 0.875 0.750 0.652
Pd: 0.125 0.250 0.055
Pd: 0.125 0.250 0.128
Pd: 0.125 0.250 0.201
Pd: 0.125 0.250 0.275
Pd: 0.125 0.250 0.761
Pd: 0.125 0.250 0.835
Pd: 0.125 0.250 0.908
Pd: 0.125 0.250 0.982
Pd: 0.131 0.250 0.687
Pd: 0.375 0.750 0.018
Pd: 0.375 0.750 0.165
Pd: 0.375 0.750 0.239
Pd: 0.375 0.750 0.723
Pd: 0.375 0.750 0.798
Pd: 0.375 0.750 0.871
Pd: 0.375 0.750 0.945
Pd: 0.376 0.750 0.092
Pd: 0.381 0.750 0.313
Pd: 0.619 0.250 0.687
Pd: 0.624 0.250 0.908
Pd: 0.625 0.250 0.055
Pd: 0.625 0.250 0.129
Pd: 0.625 0.250 0.202
Pd: 0.625 0.250 0.277
Pd: 0.625 0.250 0.761
Pd: 0.625 0.250 0.835
Pd: 0.625 0.250 0.982
Pd: 0.869 0.750 0.313
Pd: 0.875 0.750 0.018
Pd: 0.875 0.750 0.092
Pd: 0.875 0.750 0.165
Pd: 0.875 0.750 0.239
Pd: 0.875 0.750 0.725
Pd: 0.875 0.750 0.799
Pd: 0.875 0.750 0.872
Pd: 0.875 0.750 0.945



# 4
This entry pairs a crystal structure of BiPd2 with its simulated XRD peak list. Radiation: Cu Kα, 1.54184 Å. Structure: a crystal structure in OQMD, relaxed with GGA-PBE.
Kinematic intensities with the Lorentz-polarization factor, no thermal factor.

The 8 most intense peaks (2θ = 15–90°), by angle:
| Position (°2θ) | Rel. int. |
| --- | --- |
| 24.20 | 58 |
| 40.04 | 100 |
| 47.34 | 30 |
| 57.91 | 17 |
| 63.69 | 13 |
| 72.74 | 35 |
| 77.94 | 10 |
| 86.42 | 11 |

Atomic structure:
Cell: 4.504 4.504 4.504 Å, 60.00 60.00 60.00°
Positions (direct):
Bi: 0.000 0.000 0.000
Pd: 0.250 0.250 0.250
Pd: 0.750 0.750 0.750



# 5
This entry pairs a crystal structure of PrBi2Pd2 with its simulated XRD peak list. Radiation: Cu Kα, 1.54184 Å. Structure: a crystal structure in OQMD, relaxed with GGA-PBE.
Kinematic intensities with the Lorentz-polarization factor, no thermal factor.

The 10 most intense peaks (2θ = 15–90°), by angle:
| Position (°2θ) | Rel. int. |
| --- | --- |
| 27.62 | 20 |
| 30.94 | 56 |
| 31.14 | 100 |
| 37.62 | 83 |
| 42.65 | 49 |
| 45.80 | 22 |
| 49.47 | 31 |
| 54.25 | 29 |
| 63.89 | 26 |
| 71.35 | 22 |

Atomic structure:
Cell: 4.782 4.782 10.884 Å, 90.00 90.00 90.00°
Positions (direct):
Pr: 0.250 0.250 0.235
Pr: 0.750 0.750 0.765
Bi: 0.250 0.250 0.874
Bi: 0.250 0.750 0.500
Bi: 0.750 0.250 0.500
Bi: 0.750 0.750 0.126
Pd: 0.250 0.250 0.631
Pd: 0.250 0.750 0.000
Pd: 0.750 0.250 0.000
Pd: 0.750 0.750 0.369



# 6
This entry pairs a crystal structure of Y2Bi2PdPt with its simulated XRD peak list. Radiation: Cu Kα, 1.54184 Å. Structure: a crystal structure in OQMD, relaxed with GGA-PBE.
Kinematic intensities with the Lorentz-polarization factor, no thermal factor.

The 10 most intense peaks (2θ = 15–90°), by angle:
| Position (°2θ) | Rel. int. |
| --- | --- |
| 22.87 | 42 |
| 26.47 | 14 |
| 37.78 | 100 |
| 44.62 | 23 |
| 54.50 | 17 |
| 59.86 | 10 |
| 68.22 | 36 |
| 73.00 | 7 |
| 80.71 | 11 |
| 85.25 | 8 |

Atomic structure:
Cell: 8.250 4.763 15.790 Å, 90.00 100.02 90.00°
Positions (direct):
Y: 0.000 0.000 0.000
Y: 0.003 0.500 0.501
Y: 0.249 0.000 0.749
Y: 0.251 0.500 0.250
Y: 0.498 0.000 0.499
Y: 0.501 0.500 0.000
Y: 0.749 0.000 0.249
Y: 0.752 0.500 0.750
Bi: 0.124 0.000 0.374
Bi: 0.126 0.500 0.875
Bi: 0.375 0.000 0.125
Bi: 0.377 0.500 0.625
Bi: 0.625 0.000 0.874
Bi: 0.627 0.500 0.375
Bi: 0.874 0.000 0.624
Bi: 0.876 0.500 0.126
Pd: 0.063 0.000 0.188
Pd: 0.563 0.000 0.687
Pd: 0.563 0.500 0.188
Pd: 0.813 0.000 0.437
Pt: 0.063 0.500 0.688
Pt: 0.312 0.000 0.936
Pt: 0.312 0.500 0.437
Pt: 0.813 0.500 0.937



# 7
This entry pairs a crystal structure of RbBiPd with its simulated XRD peak list. Radiation: Cu Kα, 1.54184 Å. Structure: a crystal structure in OQMD, relaxed with GGA-PBE.
Kinematic intensities with the Lorentz-polarization factor, no thermal factor.

The 10 most intense peaks (2θ = 15–90°), by angle:
| Position (°2θ) | Rel. int. |
| --- | --- |
| 21.25 | 37 |
| 24.59 | 26 |
| 35.05 | 100 |
| 41.36 | 21 |
| 50.42 | 18 |
| 55.31 | 9 |
| 56.87 | 11 |
| 62.88 | 37 |
| 74.07 | 12 |
| 84.66 | 17 |

Atomic structure:
Cell: 5.120 5.120 5.120 Å, 60.00 60.00 60.00°
Positions (direct):
Rb: 0.000 0.000 0.000
Bi: 0.500 0.500 0.500
Pd: 0.750 0.750 0.750



# 8
This entry pairs a crystal structure of Bi8Pd2S with its simulated XRD peak list. Radiation: Cu Kα, 1.54184 Å. Structure: a crystal structure in OQMD, relaxed with GGA-PBE.
Kinematic intensities with the Lorentz-polarization factor, no thermal factor.

The 10 most intense peaks (2θ = 15–90°), by angle:
| Position (°2θ) | Rel. int. |
| --- | --- |
| 25.57 | 23 |
| 27.02 | 36 |
| 29.81 | 100 |
| 31.32 | 88 |
| 32.66 | 19 |
| 35.73 | 29 |
| 35.91 | 27 |
| 36.99 | 38 |
| 38.08 | 29 |
| 39.10 | 28 |

Atomic structure:
Cell: 10.310 10.310 11.835 Å, 90.00 90.00 90.00°
Positions (direct):
Bi: 0.000 0.000 0.212
Bi: 0.000 0.000 0.788
Bi: 0.055 0.312 0.331
Bi: 0.055 0.312 0.669
Bi: 0.107 0.893 0.500
Bi: 0.159 0.159 0.000
Bi: 0.159 0.841 0.000
Bi: 0.188 0.555 0.169
Bi: 0.188 0.555 0.831
Bi: 0.312 0.055 0.331
Bi: 0.312 0.055 0.669
Bi: 0.341 0.341 0.500
Bi: 0.341 0.659 0.500
Bi: 0.393 0.393 0.000
Bi: 0.445 0.812 0.169
Bi: 0.445 0.812 0.831
Bi: 0.500 0.500 0.288
Bi: 0.500 0.500 0.712
Bi: 0.555 0.188 0.169
Bi: 0.555 0.188 0.831
Bi: 0.607 0.607 0.000
Bi: 0.659 0.341 0.500
Bi: 0.659 0.659 0.500
Bi: 0.688 0.945 0.331
Bi: 0.688 0.945 0.669
Bi: 0.812 0.445 0.169
Bi: 0.812 0.445 0.831
Bi: 0.841 0.159 0.000
Bi: 0.841 0.841 0.000
Bi: 0.893 0.107 0.500
Bi: 0.945 0.688 0.331
Bi: 0.945 0.688 0.669
Pd: 0.203 0.797 0.286
Pd: 0.203 0.797 0.714
Pd: 0.297 0.297 0.214
Pd: 0.297 0.297 0.786
Pd: 0.703 0.703 0.214
Pd: 0.703 0.703 0.786
Pd: 0.797 0.203 0.286
Pd: 0.797 0.203 0.714
S: 0.000 0.500 0.000
S: 0.000 0.500 0.500
S: 0.500 0.000 0.000
S: 0.500 0.000 0.500



# 9
This entry pairs a crystal structure of Bi3Sb4Pd4 with its simulated XRD peak list. Radiation: Cu Kα, 1.54184 Å. Structure: a crystal structure in OQMD, relaxed with GGA-PBE.
Kinematic intensities with the Lorentz-polarization factor, no thermal factor.

The 10 most intense peaks (2θ = 15–90°), by angle:
| Position (°2θ) | Rel. int. |
| --- | --- |
| 23.35 | 34 |
| 24.49 | 11 |
| 26.85 | 25 |
| 27.38 | 11 |
| 38.34 | 53 |
| 38.73 | 100 |
| 45.38 | 12 |
| 55.34 | 18 |
| 69.58 | 36 |
| 70.35 | 16 |

Atomic structure:
Cell: 8.030 8.030 8.030 Å, 131.15 131.15 71.57°
Positions (direct):
Bi: 0.000 0.000 0.000
Bi: 0.250 0.750 0.500
Bi: 0.750 0.250 0.500
Sb: 0.000 0.500 0.500
Sb: 0.267 0.267 0.000
Sb: 0.500 0.000 0.500
Sb: 0.733 0.733 0.000
Pd: 0.126 0.628 0.000
Pd: 0.372 0.372 0.499
Pd: 0.628 0.126 0.000
Pd: 0.874 0.874 0.501



# 10
This entry pairs a crystal structure of ScBiPd with its simulated XRD peak list. Radiation: Cu Kα, 1.54184 Å. Structure: a crystal structure in OQMD, relaxed with GGA-PBE.
Kinematic intensities with the Lorentz-polarization factor, no thermal factor.

The 10 most intense peaks (2θ = 15–90°), by angle:
| Position (°2θ) | Rel. int. |
| --- | --- |
| 23.21 | 46 |
| 24.90 | 45 |
| 26.26 | 44 |
| 32.07 | 53 |
| 33.92 | 51 |
| 38.95 | 100 |
| 41.67 | 43 |
| 43.25 | 37 |
| 44.11 | 62 |
| 61.61 | 26 |

Atomic structure:
Cell: 7.296 4.335 8.204 Å, 90.00 90.00 90.00°
Positions (direct):
Sc: 0.035 0.250 0.223
Sc: 0.465 0.750 0.723
Sc: 0.535 0.250 0.277
Sc: 0.965 0.750 0.777
Bi: 0.222 0.250 0.899
Bi: 0.278 0.750 0.399
Bi: 0.722 0.250 0.601
Bi: 0.778 0.750 0.101
Pd: 0.115 0.250 0.571
Pd: 0.385 0.750 0.071
Pd: 0.615 0.250 0.929
Pd: 0.885 0.750 0.429